Starting from the PBE geometry in OQMD, the PXRD pattern of LiNb3Co4Sb4 was calculated for Cu Ka.
Neutral-atom scattering factors, no anomalous dispersion.

Most intense lines, 10 to 90 degrees two-theta, by angle:
d/Å	I_rel
5.314	9
3.428	38
2.974	38
2.957	18
2.103	51
2.097	100
1.793	11
1.714	15
1.487	16
1.329	14
1.213	31
1.210	14

Crystal structure
Cell lengths 7.2577, 7.2577, 7.2577 Å; angles 131.61, 131.61, 70.84 degrees
Atoms (fractional coordinates):
Li  0.0000  0.0000  0.0000
Nb  0.2500  0.7500  0.5000
Nb  0.5000  0.5000  0.0000
Nb  0.7500  0.2500  0.5000
Co  0.1341  0.1341  0.5299
Co  0.3958  0.8659  0.0000
Co  0.6042  0.6042  0.4701
Co  0.8659  0.3958  0.0000
Sb  0.0000  0.5000  0.5000
Sb  0.2378  0.2378  0.0000
Sb  0.5000  0.0000  0.5000
Sb  0.7622  0.7622  0.0000

=====

Starting from the PBE geometry in OQMD, the PXRD pattern of LiPrCoNiP2 was calculated for Cu Ka.
Neutral-atom scattering factors, no anomalous dispersion.

Most intense lines, 10 to 90 degrees two-theta, by angle:
d/Å	I_rel
3.012	100
2.366	57
2.209	16
1.952	44
1.849	9
1.638	16
1.506	13
1.488	12
1.463	25
1.255	13
1.192	12
1.127	7

Crystal structure
Cell lengths 3.9039, 3.9039, 6.6261 Å; angles 90.00, 90.00, 120.00 degrees
Atoms (fractional coordinates):
Li  0.0000  0.0000  0.0000
Pr  0.0000  0.0000  0.4977
Co  0.3333  0.6667  0.8612
Ni  0.6667  0.3333  0.1338
P  0.3333  0.6667  0.2018
P  0.6667  0.3333  0.7877